Entry 1:
Diffraction record for Na6Tl12Ag. The powder XRD pattern is computed, not measured: it uses DFT lattice parameters and positions (PBE) and copper Kα.
No peak broadening, texture or thermal motion is included.

Structure:
```
Na6Tl12Ag
1.0
7.635 4.408 2.791
-7.635 4.408 2.791
0.000 -8.816 2.791
Na Tl Ag
6 12 1
Direct
0.144 0.510 0.678
0.322 0.856 0.490
0.490 0.322 0.856
0.510 0.678 0.144
0.678 0.144 0.510
0.856 0.490 0.322
0.082 0.275 0.864
0.136 0.918 0.725
0.193 0.443 0.306
0.275 0.864 0.082
0.306 0.193 0.443
0.443 0.306 0.193
0.557 0.694 0.807
0.694 0.807 0.557
0.725 0.136 0.918
0.807 0.557 0.694
0.864 0.082 0.275
0.918 0.725 0.136
0.000 0.000 0.000
```

Top 10 peaks for 2θ = 10–90°, low angle first:
- 2θ 11.6, intensity 100
- 2θ 23.3, intensity 48
- 2θ 27.8, intensity 87
- 2θ 29.0, intensity 49
- 2θ 31.4, intensity 71
- 2θ 32.5, intensity 67
- 2θ 34.2, intensity 56
- 2θ 35.6, intensity 38
- 2θ 37.6, intensity 59
- 2θ 40.0, intensity 48

Entry 2:
Diffraction record for NaInTe2. The powder XRD pattern is computed, not measured: it uses DFT lattice parameters and positions (PBE) and copper Kα.
No peak broadening, texture or thermal motion is included.

Structure:
```
NaInTe2
1.0
6.208 -6.167 0.000
6.208 6.167 0.000
-2.396 0.000 15.604
Na In Te
8 8 16
Direct
0.117 0.841 0.904
0.159 0.883 0.596
0.303 0.309 0.363
0.309 0.303 0.863
0.691 0.697 0.137
0.697 0.691 0.637
0.841 0.117 0.404
0.883 0.159 0.096
0.061 0.713 0.349
0.279 0.448 0.146
0.287 0.939 0.151
0.448 0.279 0.646
0.552 0.721 0.354
0.713 0.061 0.849
0.721 0.552 0.854
0.939 0.287 0.651
0.015 0.444 0.234
0.035 0.965 0.250
0.166 0.221 0.537
0.221 0.166 0.037
0.326 0.667 0.462
0.333 0.674 0.038
0.436 0.564 0.750
0.444 0.015 0.734
0.556 0.985 0.266
0.564 0.436 0.250
0.667 0.326 0.962
0.674 0.333 0.538
0.779 0.834 0.963
0.834 0.779 0.463
0.965 0.035 0.750
0.985 0.556 0.766
```

Top 10 peaks for 2θ = 10–90°, low angle first:
- 2θ 14.4, intensity 29
- 2θ 16.1, intensity 28
- 2θ 21.8, intensity 32
- 2θ 22.3, intensity 100
- 2θ 24.5, intensity 30
- 2θ 28.1, intensity 46
- 2θ 29.1, intensity 26
- 2θ 31.7, intensity 37
- 2θ 41.2, intensity 38
- 2θ 41.3, intensity 28

Entry 3:
Diffraction record for NaGaC2. The powder XRD pattern is computed, not measured: it uses DFT lattice parameters and positions (PBE) and copper Kα.
No peak broadening, texture or thermal motion is included.

Structure:
```
NaGaC2
1.0
4.183 0.000 0.000
0.000 4.183 0.000
0.000 0.000 13.241
Na Ga C
4 4 8
Direct
0.000 0.250 0.375
0.000 0.750 0.625
0.500 0.250 0.125
0.500 0.750 0.875
0.000 0.250 0.875
0.000 0.750 0.125
0.500 0.250 0.625
0.500 0.750 0.375
0.000 0.000 0.000
0.000 0.500 0.000
0.250 0.250 0.750
0.250 0.750 0.250
0.500 0.000 0.500
0.500 0.500 0.500
0.750 0.250 0.750
0.750 0.750 0.250
```

Top 10 peaks for 2θ = 10–90°, low angle first:
- 2θ 22.3, intensity 63
- 2θ 26.9, intensity 25
- 2θ 29.4, intensity 8
- 2θ 33.2, intensity 100
- 2θ 43.3, intensity 24
- 2θ 51.7, intensity 55
- 2θ 53.2, intensity 15
- 2θ 69.6, intensity 14
- 2θ 72.9, intensity 27
- 2θ 85.6, intensity 12

Entry 4:
Diffraction record for Na6Br5. The powder XRD pattern is computed, not measured: it uses DFT lattice parameters and positions (PBE) and copper Kα.
No peak broadening, texture or thermal motion is included.

Structure:
```
Na6Br5
1.0
3.692 -6.388 0.000
3.692 6.388 0.000
-2.470 0.000 6.958
Na Br
6 5
Direct
0.083 0.415 0.750
0.249 0.249 0.251
0.415 0.083 0.750
0.585 0.917 0.250
0.751 0.751 0.749
0.917 0.585 0.250
0.166 0.834 0.000
0.333 0.667 0.500
0.500 0.500 0.000
0.667 0.333 0.500
0.834 0.166 0.000
```

Top 10 peaks for 2θ = 10–90°, low angle first:
- 2θ 25.6, intensity 43
- 2θ 29.6, intensity 100
- 2θ 42.4, intensity 73
- 2θ 50.2, intensity 10
- 2θ 50.2, intensity 10
- 2θ 52.6, intensity 25
- 2θ 61.6, intensity 12
- 2θ 67.8, intensity 9
- 2θ 69.8, intensity 31
- 2θ 77.6, intensity 23

Entry 5:
Diffraction record for Sr3Li2Sn2Bi4. The powder XRD pattern is computed, not measured: it uses DFT lattice parameters and positions (PBE) and copper Kα.
No peak broadening, texture or thermal motion is included.

Structure:
```
Sr3Li2Sn2Bi4
1.0
4.787 0.000 0.000
-2.394 4.146 0.000
0.000 0.000 18.622
Sr Li Sn Bi
3 2 2 4
Direct
0.000 0.000 0.000
0.000 0.000 0.236
0.000 0.000 0.764
0.333 0.667 0.121
0.667 0.333 0.879
0.333 0.667 0.573
0.667 0.333 0.427
0.333 0.667 0.346
0.333 0.667 0.882
0.667 0.333 0.118
0.667 0.333 0.654
```

Top 10 peaks for 2θ = 10–90°, low angle first:
- 2θ 19.1, intensity 22
- 2θ 23.5, intensity 80
- 2θ 25.8, intensity 37
- 2θ 28.8, intensity 100
- 2θ 32.3, intensity 25
- 2θ 36.2, intensity 34
- 2θ 37.6, intensity 80
- 2θ 48.0, intensity 25
- 2θ 59.0, intensity 34
- 2θ 62.5, intensity 23

Entry 6:
Diffraction record for Ba4PrRu3O12. The powder XRD pattern is computed, not measured: it uses DFT lattice parameters and positions (PBE) and copper Kα.
No peak broadening, texture or thermal motion is included.

Structure:
```
Ba4PrRu3O12
1.0
5.206 -3.003 0.000
5.206 3.003 0.000
-4.090 0.000 10.005
Ba Pr Ru O
4 1 3 12
Direct
0.129 0.129 0.391
0.274 0.274 0.846
0.726 0.726 0.154
0.871 0.871 0.609
0.000 0.000 0.000
0.430 0.430 0.244
0.500 0.500 0.500
0.570 0.570 0.756
0.155 0.616 0.364
0.244 0.244 0.107
0.256 0.725 0.153
0.275 0.744 0.847
0.376 0.376 0.604
0.384 0.845 0.636
0.616 0.155 0.364
0.624 0.624 0.396
0.725 0.256 0.153
0.744 0.275 0.847
0.756 0.756 0.893
0.845 0.384 0.636
```

Top 10 peaks for 2θ = 10–90°, low angle first:
- 2θ 26.1, intensity 22
- 2θ 27.4, intensity 41
- 2θ 28.9, intensity 15
- 2θ 29.8, intensity 100
- 2θ 40.0, intensity 23
- 2θ 41.8, intensity 12
- 2θ 45.3, intensity 12
- 2θ 52.8, intensity 19
- 2θ 61.8, intensity 17
- 2θ 85.6, intensity 12

Entry 7:
Diffraction record for Pd9PbAu2. The powder XRD pattern is computed, not measured: it uses DFT lattice parameters and positions (PBE) and copper Kα.
No peak broadening, texture or thermal motion is included.

Structure:
```
Pd9PbAu2
1.0
4.058 0.000 0.000
0.000 4.058 0.000
0.000 0.000 11.973
Pd Pb Au
9 1 2
Direct
0.000 0.000 0.000
0.000 0.000 0.336
0.000 0.000 0.664
0.000 0.500 0.171
0.000 0.500 0.500
0.000 0.500 0.829
0.500 0.000 0.171
0.500 0.000 0.500
0.500 0.000 0.829
0.500 0.500 0.000
0.500 0.500 0.337
0.500 0.500 0.663
```

Top 10 peaks for 2θ = 10–90°, low angle first:
- 2θ 21.9, intensity 6
- 2θ 31.4, intensity 5
- 2θ 38.6, intensity 100
- 2θ 44.7, intensity 33
- 2θ 45.5, intensity 16
- 2θ 65.0, intensity 11
- 2θ 65.6, intensity 21
- 2θ 78.2, intensity 25
- 2θ 79.4, intensity 12
- 2θ 82.9, intensity 11

Entry 8:
Diffraction record for La6BiTe5. The powder XRD pattern is computed, not measured: it uses DFT lattice parameters and positions (PBE) and copper Kα.
No peak broadening, texture or thermal motion is included.

Structure:
```
La6BiTe5
1.0
3.982 -6.901 0.000
3.982 6.901 0.000
-2.657 0.000 7.527
La Bi Te
6 1 5
Direct
0.081 0.416 0.748
0.248 0.248 0.251
0.416 0.081 0.748
0.584 0.919 0.252
0.752 0.752 0.749
0.919 0.584 0.252
0.500 0.500 0.000
0.000 0.000 0.500
0.167 0.833 0.000
0.334 0.666 0.500
0.666 0.334 0.500
0.833 0.167 0.000
```

Top 10 peaks for 2θ = 10–90°, low angle first:
- 2θ 27.4, intensity 100
- 2θ 39.1, intensity 77
- 2θ 48.4, intensity 21
- 2θ 48.5, intensity 7
- 2θ 56.6, intensity 13
- 2θ 64.0, intensity 30
- 2θ 64.0, intensity 6
- 2θ 70.8, intensity 7
- 2θ 71.0, intensity 20
- 2θ 84.1, intensity 4

Entry 9:
Diffraction record for NaCuSeS. The powder XRD pattern is computed, not measured: it uses DFT lattice parameters and positions (PBE) and copper Kα.
No peak broadening, texture or thermal motion is included.

Structure:
```
NaCuSeS
1.0
3.978 0.000 0.000
0.000 4.158 0.000
0.000 0.000 9.718
Na Cu Se S
2 2 2 2
Direct
0.000 0.000 0.000
0.500 0.500 0.500
0.000 0.500 0.239
0.500 0.000 0.739
0.000 0.000 0.374
0.500 0.500 0.874
0.000 0.000 0.622
0.500 0.500 0.122
```

Top 10 peaks for 2θ = 10–90°, low angle first:
- 2θ 23.3, intensity 43
- 2θ 24.2, intensity 100
- 2θ 35.1, intensity 68
- 2θ 35.7, intensity 26
- 2θ 36.3, intensity 62
- 2θ 43.5, intensity 33
- 2θ 45.6, intensity 28
- 2θ 49.1, intensity 52
- 2θ 50.4, intensity 27
- 2θ 58.8, intensity 29

Entry 10:
Diffraction record for Ce2Tc12P7. The powder XRD pattern is computed, not measured: it uses DFT lattice parameters and positions (PBE) and copper Kα.
No peak broadening, texture or thermal motion is included.

Structure:
```
Ce2Tc12P7
1.0
10.655 0.000 0.000
-5.327 9.227 0.000
0.000 0.000 3.159
Ce Tc P
2 12 7
Direct
0.333 0.667 0.248
0.667 0.333 0.752
0.075 0.444 0.751
0.122 0.867 0.255
0.133 0.255 0.255
0.255 0.122 0.745
0.370 0.925 0.751
0.444 0.370 0.249
0.556 0.630 0.751
0.630 0.075 0.249
0.745 0.878 0.255
0.867 0.745 0.745
0.878 0.133 0.745
0.925 0.556 0.249
0.000 0.000 0.500
0.115 0.696 0.749
0.304 0.419 0.749
0.419 0.115 0.251
0.581 0.885 0.749
0.696 0.581 0.251
0.885 0.304 0.251
```

Top 10 peaks for 2θ = 10–90°, low angle first:
- 2θ 25.5, intensity 17
- 2θ 33.0, intensity 9
- 2θ 33.6, intensity 8
- 2θ 38.4, intensity 100
- 2θ 39.0, intensity 13
- 2θ 41.0, intensity 8
- 2θ 42.7, intensity 23
- 2θ 45.0, intensity 20
- 2θ 58.4, intensity 10
- 2θ 60.7, intensity 10

Entry 11:
Diffraction record for Os2I2Br. The powder XRD pattern is computed, not measured: it uses DFT lattice parameters and positions (PBE) and copper Kα.
No peak broadening, texture or thermal motion is included.

Structure:
```
Os2I2Br
1.0
4.086 0.000 0.000
0.000 4.086 0.000
0.000 0.000 15.309
Os I Br
4 4 2
Direct
0.000 0.500 0.250
0.000 0.500 0.750
0.500 0.000 0.250
0.500 0.000 0.750
0.000 0.000 0.144
0.000 0.000 0.856
0.500 0.500 0.356
0.500 0.500 0.644
0.000 0.000 0.500
0.500 0.500 0.000
```

Top 10 peaks for 2θ = 10–90°, low angle first:
- 2θ 11.6, intensity 100
- 2θ 28.0, intensity 43
- 2θ 33.1, intensity 44
- 2θ 39.1, intensity 47
- 2θ 44.3, intensity 31
- 2θ 46.0, intensity 14
- 2θ 47.5, intensity 49
- 2θ 53.2, intensity 14
- 2θ 78.0, intensity 19
- 2θ 83.9, intensity 23

Entry 12:
Diffraction record for Na3Se5. The powder XRD pattern is computed, not measured: it uses DFT lattice parameters and positions (PBE) and copper Kα.
No peak broadening, texture or thermal motion is included.

Structure:
```
Na3Se5
1.0
0.000 8.836 7.642
3.067 0.000 7.642
3.067 8.836 0.000
Na Se
6 10
Direct
0.000 0.000 0.000
0.007 0.602 0.810
0.250 0.250 0.250
0.440 0.670 0.243
0.602 0.007 0.580
0.670 0.440 0.648
0.047 0.796 0.372
0.128 0.519 0.025
0.225 0.922 0.122
0.464 0.878 0.454
0.489 0.489 0.511
0.519 0.128 0.328
0.739 0.739 0.761
0.796 0.047 0.786
0.878 0.464 0.203
0.922 0.225 0.731
```

Top 10 peaks for 2θ = 10–90°, low angle first:
- 2θ 21.7, intensity 100
- 2θ 30.9, intensity 25
- 2θ 31.4, intensity 43
- 2θ 32.6, intensity 37
- 2θ 33.1, intensity 24
- 2θ 36.7, intensity 40
- 2θ 39.0, intensity 27
- 2θ 41.8, intensity 14
- 2θ 42.6, intensity 26
- 2θ 57.8, intensity 13